Starting from a DFT-relaxed cell (GGA-PBE, Alexandria), the X-ray powder pattern of TaV8W3 was simulated for CuKα.
Kinematic intensities with the Lorentz-polarization factor, no thermal factor.

Top 10 peaks for 2θ = 10–90°, in order of falling intensity:
- d = 2.293 Å, 2θ = 39.3°, intensity 100
- d = 2.123 Å, 2θ = 42.6°, intensity 94
- d = 2.490 Å, 2θ = 36.1°, intensity 75
- d = 2.084 Å, 2θ = 43.4°, intensity 41
- d = 1.396 Å, 2θ = 67.0°, intensity 40
- d = 4.313 Å, 2θ = 20.6°, intensity 26
- d = 1.297 Å, 2θ = 72.9°, intensity 26
- d = 1.355 Å, 2θ = 69.3°, intensity 21
- d = 1.094 Å, 2θ = 89.6°, intensity 20
- d = 1.245 Å, 2θ = 76.5°, intensity 19

Atomic structure:
a b c (Å): 4.980 4.980 8.120
angles (deg): 90.00 90.00 120.00
Element x y z (fractional)
Ta  0.000  0.000  0.000
V  0.164  0.327  0.686
V  0.164  0.836  0.686
V  0.333  0.667  0.439
V  0.333  0.667  0.938
V  0.503  0.006  0.191
V  0.503  0.497  0.191
V  0.673  0.836  0.686
V  0.994  0.497  0.191
W  0.000  0.000  0.378
W  0.667  0.333  0.499
W  0.667  0.333  0.876

---

Starting from a DFT-relaxed cell (GGA-PBE, Alexandria), the X-ray powder pattern of Cs2Pa2Se5 was simulated for CuKα.
Kinematic intensities with the Lorentz-polarization factor, no thermal factor.

Top 10 peaks for 2θ = 10–90°, in order of falling intensity:
- d = 2.514 Å, 2θ = 35.7°, intensity 100
- d = 8.835 Å, 2θ = 10.0°, intensity 81
- d = 2.785 Å, 2θ = 32.1°, intensity 44
- d = 3.064 Å, 2θ = 29.1°, intensity 35
- d = 3.653 Å, 2θ = 24.4°, intensity 35
- d = 2.062 Å, 2θ = 43.9°, intensity 29
- d = 2.276 Å, 2θ = 39.6°, intensity 23
- d = 1.553 Å, 2θ = 59.5°, intensity 20
- d = 3.000 Å, 2θ = 29.8°, intensity 18
- d = 3.325 Å, 2θ = 26.8°, intensity 18

Atomic structure:
a b c (Å): 9.703 9.703 8.021
angles (deg): 90.00 90.00 48.85
Element x y z (fractional)
Cs  0.206  0.206  0.000
Cs  0.294  0.294  0.500
Cs  0.706  0.706  0.500
Cs  0.794  0.794  0.000
Pa  0.158  0.842  0.659
Pa  0.342  0.658  0.159
Pa  0.658  0.342  0.841
Pa  0.842  0.158  0.341
Se  0.000  0.000  0.000
Se  0.041  0.752  0.356
Se  0.248  0.959  0.356
Se  0.252  0.541  0.856
Se  0.459  0.748  0.856
Se  0.500  0.500  0.500
Se  0.541  0.252  0.144
Se  0.748  0.459  0.144
Se  0.752  0.041  0.644
Se  0.959  0.248  0.644

---

What did the first record say?
Starting from a DFT-relaxed cell (GGA-PBE, Alexandria), the X-ray powder pattern of TaV8W3 was simulated for CuKα.
Kinematic intensities with the Lorentz-polarization factor, no thermal factor.

Top 10 peaks for 2θ = 10–90°, in order of falling intensity:
- d = 2.293 Å, 2θ = 39.3°, intensity 100
- d = 2.123 Å, 2θ = 42.6°, intensity 94
- d = 2.490 Å, 2θ = 36.1°, intensity 75
- d = 2.084 Å, 2θ = 43.4°, intensity 41
- d = 1.396 Å, 2θ = 67.0°, intensity 40
- d = 4.313 Å, 2θ = 20.6°, intensity 26
- d = 1.297 Å, 2θ = 72.9°, intensity 26
- d = 1.355 Å, 2θ = 69.3°, intensity 21
- d = 1.094 Å, 2θ = 89.6°, intensity 20
- d = 1.245 Å, 2θ = 76.5°, intensity 19

Atomic structure:
a b c (Å): 4.980 4.980 8.120
angles (deg): 90.00 90.00 120.00
Element x y z (fractional)
Ta  0.000  0.000  0.000
V  0.164  0.327  0.686
V  0.164  0.836  0.686
V  0.333  0.667  0.439
V  0.333  0.667  0.938
V  0.503  0.006  0.191
V  0.503  0.497  0.191
V  0.673  0.836  0.686
V  0.994  0.497  0.191
W  0.000  0.000  0.378
W  0.667  0.333  0.499
W  0.667  0.333  0.876

---

What did the second record say?
Starting from a DFT-relaxed cell (GGA-PBE, Alexandria), the X-ray powder pattern of Cs2Pa2Se5 was simulated for CuKα.
Kinematic intensities with the Lorentz-polarization factor, no thermal factor.

Top 10 peaks for 2θ = 10–90°, in order of falling intensity:
- d = 2.514 Å, 2θ = 35.7°, intensity 100
- d = 8.835 Å, 2θ = 10.0°, intensity 81
- d = 2.785 Å, 2θ = 32.1°, intensity 44
- d = 3.064 Å, 2θ = 29.1°, intensity 35
- d = 3.653 Å, 2θ = 24.4°, intensity 35
- d = 2.062 Å, 2θ = 43.9°, intensity 29
- d = 2.276 Å, 2θ = 39.6°, intensity 23
- d = 1.553 Å, 2θ = 59.5°, intensity 20
- d = 3.000 Å, 2θ = 29.8°, intensity 18
- d = 3.325 Å, 2θ = 26.8°, intensity 18

Atomic structure:
a b c (Å): 9.703 9.703 8.021
angles (deg): 90.00 90.00 48.85
Element x y z (fractional)
Cs  0.206  0.206  0.000
Cs  0.294  0.294  0.500
Cs  0.706  0.706  0.500
Cs  0.794  0.794  0.000
Pa  0.158  0.842  0.659
Pa  0.342  0.658  0.159
Pa  0.658  0.342  0.841
Pa  0.842  0.158  0.341
Se  0.000  0.000  0.000
Se  0.041  0.752  0.356
Se  0.248  0.959  0.356
Se  0.252  0.541  0.856
Se  0.459  0.748  0.856
Se  0.500  0.500  0.500
Se  0.541  0.252  0.144
Se  0.748  0.459  0.144
Se  0.752  0.041  0.644
Se  0.959  0.248  0.644